For FeAs2PbO8, a structure optimized by DFT (PBE+U) gives the theoretical powder diffraction line list in this record (Cu Ka).
Intensities are scaled so that the largest is 1000.

The 10 most intense peaks (15° ≤ 2θ ≤ 90°), low angle first:
d (Å)	2θ (°)	I (rel.)	hkl
4.216	21.07	146	1 0 1
3.463	25.72	1000	1 0 4
2.474	36.31	396	1 1 0
2.424	37.08	305	0 1 8
2.359	38.14	143	1 1 3
2.013	45.03	209	0 2 4
1.732	52.87	122	2 0 8
1.562	59.17	192	2 1 4
1.536	60.24	195	1 1 12
1.419	65.83	123	1 2 8

Atomic structure:
```
data_FeAs2PbO8
_chemical_formula_sum 'Fe3 As6 Pb3 O24'
_cell_length_a 4.9482
_cell_length_b 4.9482
_cell_length_c 23.5200
_cell_angle_alpha 90.00
_cell_angle_beta 90.00
_cell_angle_gamma 120.00
_space_group_name_H-M_alt 'R 3 2'
_space_group_IT_number 155
_space_group_name_Hall 'R 3 2"'
loop_
_atom_site_label
_atom_site_type_symbol
_atom_site_fract_x
_atom_site_fract_y
_atom_site_fract_z
Fe1 Fe 0.0000 0.0000 0.0000
As1 As 0.0000 0.0000 0.2567
Pb1 Pb 0.0000 0.0000 0.5000
O1 O 0.0000 0.0000 0.1839
O2 O 0.0104 0.3235 0.9447
```